[1]
Computed powder X-ray diffraction pattern
Compound: Na2ZnFe2P3O12
Radiation: Cu Kα, 1.54184 Å
Structure: a structure optimized by DFT (PBE+U)
Kinematic intensities with the Lorentz-polarization factor, no thermal factor.

Peak list (12 most intense, 10° ≤ 2θ ≤ 80°, in order of falling intensity)
2θ (°)	d_spacing	I (rel.)	(hkl)
32.8	2.731	100	2 4 0
14.0	6.315	87	0 2 0
34.8	2.580	73	1 3 -2
32.9	2.719	55	4 0 0
28.3	3.158	43	1 1 -2
42.3	2.136	33	3 1 -3
30.8	2.906	31	3 1 -2
56.4	1.631	31	2 0 -4
25.6	3.485	24	3 1 0
20.8	4.277	23	1 1 1
34.3	2.611	21	4 0 -2
28.9	3.089	19	1 3 1

Structure:
Cell lengths 11.895, 12.631, 6.587 Å; angles 90.00, 113.89, 90.00 degrees
Space group C2/c (No. 15)
Asymmetric unit:
Na 0.000 0.000 0.000 [4 per cell]
Na 0.000 0.486 0.250 [4 per cell]
Zn 0.000 0.231 0.750 [4 per cell]
Fe 0.219 0.338 0.626 [8 per cell]
P 0.000 0.211 0.250 [4 per cell]
P 0.235 0.391 0.119 [8 per cell]
O 0.041 0.283 0.462 [8 per cell]
O 0.102 0.135 0.253 [8 per cell]
O 0.127 0.102 0.831 [8 per cell]
O 0.160 0.336 0.890 [8 per cell]
O 0.174 0.499 0.608 [8 per cell]
O 0.221 0.324 0.308 [8 per cell]



[2]
Computed powder X-ray diffraction pattern
Compound: NaEuFe4O12
Radiation: Cu Kα, 1.54184 Å
Structure: a structure optimized by DFT (PBE+U)
Kinematic intensities with the Lorentz-polarization factor, no thermal factor.

Peak list (12 most intense, 10° ≤ 2θ ≤ 80°, in order of falling intensity)
2θ (°)	d_spacing	I (rel.)	(hkl)
15.6	5.667	100	1 1 1
26.1	3.418	63	2 2 0
25.6	3.479	60	0 2 2
25.3	3.516	51	2 0 2
12.7	6.959	39	0 1 1
45.4	1.999	35	4 2 2
22.2	3.997	34	2 1 1
44.5	2.035	32	2 2 4
35.4	2.533	32	0 0 4
30.3	2.949	30	3 1 1
36.8	2.441	29	4 0 0
29.5	3.028	27	1 1 3

Structure:
Cell lengths 9.766, 9.572, 10.134 Å; angles 90.00, 90.00, 90.00 degrees
Space group Amm2 (No. 38)
Asymmetric unit:
Na 0.000 0.000 0.000 [2 per cell]
Eu 0.500 0.000 0.480 [2 per cell]
Fe 0.233 0.216 0.761 [8 per cell]
O 0.000 0.181 0.247 [4 per cell]
O 0.203 0.000 0.793 [4 per cell]
O 0.240 0.199 0.495 [8 per cell]
O 0.327 0.000 0.173 [4 per cell]
O 0.500 0.195 0.764 [4 per cell]



[3]
Computed powder X-ray diffraction pattern
Compound: Sr6Ti3FeO14
Radiation: Cu Kα, 1.54184 Å
Structure: a structure optimized by DFT (PBE+U)
Kinematic intensities with the Lorentz-polarization factor, no thermal factor.

Peak list (12 most intense, 10° ≤ 2θ ≤ 80°, in order of falling intensity)
2θ (°)	d_spacing	I (rel.)	(hkl)
31.6	2.834	100	1 0 10
32.1	2.784	68	1 2 0
56.9	1.617	37	2 2 10
41.9	2.155	28	1 2 12
46.2	1.967	26	2 0 0
46.1	1.971	22	0 4 0
44.4	2.042	16	0 0 20
55.8	1.646	15	1 2 20
67.3	1.392	15	2 4 0
26.2	3.404	9	0 0 12
65.9	1.418	9	0 4 20
66.0	1.416	9	2 0 20

Structure:
Cell lengths 3.933, 7.884, 40.832 Å; angles 90.00, 90.00, 90.00 degrees
Space group Amm2 (No. 38)
Asymmetric unit:
Sr 0.000 0.000 0.000 [2 per cell]
Sr 0.000 0.000 0.092 [2 per cell]
Sr 0.000 0.000 0.185 [2 per cell]
Sr 0.000 0.000 0.500 [2 per cell]
Sr 0.000 0.000 0.592 [2 per cell]
Sr 0.000 0.000 0.685 [2 per cell]
Sr 0.500 0.249 0.251 [4 per cell]
Sr 0.500 0.249 0.844 [4 per cell]
Sr 0.500 0.250 0.434 [4 per cell]
Ti 0.000 0.000 0.294 [2 per cell]
Ti 0.000 0.000 0.794 [2 per cell]
Ti 0.500 0.250 0.043 [4 per cell]
Ti 0.500 0.250 0.142 [4 per cell]
Fe 0.000 0.000 0.391 [2 per cell]
Fe 0.000 0.000 0.891 [2 per cell]
O 0.000 0.000 0.246 [2 per cell]
O 0.000 0.000 0.343 [2 per cell]
O 0.000 0.000 0.440 [2 per cell]
O 0.000 0.000 0.746 [2 per cell]
O 0.000 0.000 0.843 [2 per cell]
O 0.000 0.000 0.939 [2 per cell]
O 0.000 0.243 0.890 [4 per cell]
O 0.000 0.250 0.044 [4 per cell]
O 0.000 0.250 0.141 [4 per cell]
O 0.000 0.250 0.295 [4 per cell]
O 0.500 0.000 0.044 [2 per cell]
O 0.500 0.000 0.141 [2 per cell]
O 0.500 0.000 0.294 [2 per cell]
O 0.500 0.000 0.391 [2 per cell]
O 0.500 0.000 0.544 [2 per cell]
O 0.500 0.000 0.641 [2 per cell]
O 0.500 0.000 0.795 [2 per cell]
O 0.500 0.000 0.891 [2 per cell]
O 0.500 0.249 0.995 [4 per cell]
O 0.500 0.250 0.093 [4 per cell]
O 0.500 0.250 0.190 [4 per cell]